Theoretical powder X-ray diffraction pattern
Compound: Ba6Sr3Pd
Radiation: Cu Kα X-rays
Structure: a DFT-relaxed cell (PBE, Alexandria)
Peak positions follow from Bragg's law for the DFT cell and can differ from measured ones.

Crystal structure
```
20
Lattice="6.694 3.865 7.357 -6.694 3.865 7.357 0.000 -7.730 7.357" Properties=species:S:1:pos:R:3 pbc="T T T"
Ba -4.486 -2.590 12.876
Ba 0.000 -5.180 9.194
Ba -4.486 2.590 9.194
Ba -2.207 -1.274 9.171
Ba 0.000 -2.549 12.900
Ba -2.207 1.274 12.900
Ba 2.207 -1.274 9.171
Ba 0.000 2.549 9.171
Ba 2.207 1.274 12.900
Ba 4.486 -2.590 12.876
Ba 0.000 5.180 12.876
Ba 4.486 2.590 9.194
Sr 0.000 -2.529 5.471
Sr -2.190 1.265 5.471
Sr 2.190 1.265 5.471
Sr -2.190 -1.265 16.600
Sr 2.190 -1.265 16.600
Sr 0.000 2.529 16.600
Pd 0.000 0.000 0.000
Pd 0.000 0.000 11.035
```

Largest 8 diffraction maxima, by angle, 2θ from 10° to 90°:
24.2 deg, I 21; 26.0 deg, I 100; 33.6 deg, I 24; 40.4 deg, I 24; 43.7 deg, I 24; 47.7 deg, I 20; 48.7 deg, I 17; 65.1 deg, I 15

---

Theoretical powder X-ray diffraction pattern
Compound: Ba3Sr2Pd3
Radiation: Cu Kα X-rays
Structure: a DFT-relaxed cell (PBE, Alexandria)
Peak positions follow from Bragg's law for the DFT cell and can differ from measured ones.

Crystal structure
```
16
Lattice="7.144 -3.128 0.000 7.144 3.128 0.000 -0.339 0.000 15.420" Properties=species:S:1:pos:R:3 pbc="T T T"
Ba 0.000 0.000 0.000
Ba 5.713 0.000 2.672
Ba 6.989 0.000 7.690
Ba 9.734 0.000 13.432
Ba 11.268 0.000 5.671
Ba 11.287 0.000 9.718
Sr 0.961 0.000 4.828
Sr 0.983 0.000 10.523
Sr 5.748 0.000 12.528
Sr 9.743 0.000 2.061
Pd 7.227 0.000 15.352
Pd 8.270 0.000 4.705
Pd 8.265 0.000 10.657
Pd 12.705 0.000 2.891
Pd 12.765 0.000 12.435
Pd 13.734 0.000 7.681
```

Largest 8 diffraction maxima, by angle, 2θ from 10° to 90°:
12.4 deg, I 45; 15.5 deg, I 78; 26.0 deg, I 30; 28.5 deg, I 100; 30.2 deg, I 33; 30.8 deg, I 30; 39.4 deg, I 28; 39.9 deg, I 27